(1)
Na2CaUS4: calculated XRD peak list (copper Kα), based on a crystal structure in Alexandria, relaxed with PBE.
Intensities are scaled so that the largest is 100.

Peak list (10 most intense, 10° ≤ 2θ ≤ 80°, sorted by position)
two_theta  I (rel.)
15.03  26
17.51  100
22.42  20
27.11  27
27.72  21
30.33  29
31.92  53
36.64  33
44.56  19
44.66  19

Crystal structure
```
Na2CaUS4
1.0
5.6008 0.0000 0.0000
0.0005 5.6137 0.0000
2.7878 2.7940 5.8937
Na Ca U S
2 1 1 4
direct
0.0000 0.0000 0.0000
0.2501 0.7500 0.5000
0.7500 0.2498 0.5003
0.5015 0.4991 0.9994
0.2763 0.2761 0.4470
0.5078 0.0086 0.9839
0.7243 0.7240 0.5523
0.9914 0.4921 0.0163
```

(2)
Na2CaSbSe4: calculated XRD peak list (copper Kα), based on a crystal structure in Alexandria, relaxed with PBE.
Intensities are scaled so that the largest is 100.

Peak list (10 most intense, 10° ≤ 2θ ≤ 80°, sorted by position)
two_theta  I (rel.)
16.82  45
29.60  48
30.52  100
35.05  15
40.41  14
43.04  68
43.71  36
53.68  35
72.12  16
79.83  21

Crystal structure
```
Na2CaSbSe4
1.0
-2.9287 2.9287 6.0358
2.9287 -2.9287 6.0358
2.9287 2.9287 -6.0358
Na Ca Sb Se
2 1 1 4
direct
0.0000 0.0000 0.0000
0.7500 0.2500 0.5000
0.2500 0.7500 0.5000
0.5000 0.5000 0.0000
0.0053 0.5053 0.5000
0.2739 0.2739 0.0000
0.4947 0.9947 0.5000
0.7261 0.7261 0.0000
```

(3)
NaCaSe: calculated XRD peak list (copper Kα), based on a crystal structure in Alexandria, relaxed with PBE.
Intensities are scaled so that the largest is 100.

Peak list (10 most intense, 10° ≤ 2θ ≤ 80°, sorted by position)
two_theta  I (rel.)
10.10  42
20.75  18
21.57  100
30.63  42
31.52  48
34.24  24
35.84  99
42.21  17
47.84  69
72.99  18

Crystal structure
```
NaCaSe
1.0
2.5056 1.4466 8.7573
-2.5056 1.4466 8.7573
0.0000 -2.8932 8.7573
Na Ca Se
2 2 2
direct
0.1480 0.1480 0.1480
0.8520 0.8520 0.8520
0.3875 0.3875 0.3875
0.6125 0.6125 0.6125
0.2751 0.2751 0.2751
0.7249 0.7249 0.7249
```

(4)
NaCa3Sm3Se8: calculated XRD peak list (copper Kα), based on a crystal structure in Alexandria, relaxed with PBE.
Intensities are scaled so that the largest is 100.

Peak list (10 most intense, 10° ≤ 2θ ≤ 80°, sorted by position)
two_theta  I (rel.)
12.93  24
14.95  10
21.21  9
24.93  14
30.17  100
43.18  73
53.58  26
62.72  12
71.16  32
79.22  18

Crystal structure
```
NaCa3Sm3Se8
1.0
4.1876 2.4177 6.8493
-4.1876 2.4177 6.8493
0.0000 -4.8355 6.8493
Na Ca Sm Se
1 3 3 8
direct
0.0000 0.0000 0.0000
0.0000 0.0000 0.5000
0.0000 0.5000 0.0000
0.5000 0.0000 0.0000
0.0000 0.5000 0.5000
0.5000 0.0000 0.5000
0.5000 0.5000 0.0000
0.2504 0.2504 0.2504
0.2516 0.2516 0.7420
0.2516 0.7420 0.2516
0.2580 0.7484 0.7484
0.7420 0.2516 0.2516
0.7484 0.2580 0.7484
0.7484 0.7484 0.2580
0.7496 0.7496 0.7496
```

(5)
Na2Ca5Si2: calculated XRD peak list (copper Kα), based on a crystal structure in Alexandria, relaxed with PBE.
Intensities are scaled so that the largest is 100.

Peak list (10 most intense, 10° ≤ 2θ ≤ 80°, sorted by position)
two_theta  I (rel.)
27.47  13
29.16  100
31.45  39
32.93  21
34.20  38
35.45  26
37.23  40
37.34  18
55.54  15
55.66  21

Crystal structure
```
Na2Ca5Si2
1.0
10.1199 -3.8456 0.0000
10.1199 3.8456 0.0000
0.0000 0.0000 7.6934
Na Ca Si
4 10 4
direct
0.2318 0.2318 0.0000
0.2682 0.2682 0.5000
0.7318 0.7318 0.5000
0.7682 0.7682 0.0000
0.0000 0.0000 0.0000
0.0740 0.7180 0.6779
0.2180 0.5740 0.1779
0.2820 0.9260 0.6779
0.4260 0.7820 0.1779
0.5000 0.5000 0.5000
0.5740 0.2180 0.8221
0.7180 0.0740 0.3221
0.7820 0.4260 0.8221
0.9260 0.2820 0.3221
0.1126 0.8874 0.3875
0.3874 0.6126 0.8875
0.6126 0.3874 0.1125
0.8874 0.1126 0.6125
```

(6)
Na2CaSi4: calculated XRD peak list (copper Kα), based on a crystal structure in Alexandria, relaxed with PBE.
Intensities are scaled so that the largest is 100.

Peak list (10 most intense, 10° ≤ 2θ ≤ 80°, sorted by position)
two_theta  I (rel.)
13.37  11
31.04  21
32.28  100
33.85  15
45.51  23
47.07  37
58.23  16
59.23  16
60.32  12
78.02  13

Crystal structure
```
Na2CaSi4
1.0
1.9306 1.1146 13.2400
-1.9306 1.1146 13.2400
0.0000 -2.2292 13.2400
Na Ca Si
2 1 4
direct
0.1258 0.1258 0.1258
0.8742 0.8742 0.8742
0.0000 0.0000 0.0000
0.2593 0.2593 0.2593
0.3857 0.3857 0.3857
0.6143 0.6143 0.6143
0.7407 0.7407 0.7407
```

(7)
Na4SrCaSi2: calculated XRD peak list (copper Kα), based on a crystal structure in Alexandria, relaxed with PBE.
Intensities are scaled so that the largest is 100.

Peak list (10 most intense, 10° ≤ 2θ ≤ 80°, sorted by position)
two_theta  I (rel.)
20.57  20
23.79  8
26.67  5
33.90  100
40.02  7
48.57  5
48.77  11
60.58  11
60.71  22
71.29  6

Crystal structure
```
Na4SrCaSi2
1.0
5.2815 0.0000 0.0000
0.0000 5.2815 0.0000
0.0000 0.0000 7.4978
Na Sr Ca Si
4 1 1 2
direct
0.0000 0.0000 0.0000
0.0000 0.5000 0.2307
0.5000 0.0000 0.7693
0.5000 0.5000 0.5000
0.0000 0.0000 0.5000
0.5000 0.5000 0.0000
0.0000 0.5000 0.7620
0.5000 0.0000 0.2380
```

(8)
Na2CaSiTe4: calculated XRD peak list (copper Kα), based on a crystal structure in Alexandria, relaxed with PBE.
Intensities are scaled so that the largest is 100.

Peak list (10 most intense, 10° ≤ 2θ ≤ 80°, sorted by position)
two_theta  I (rel.)
11.63  27
23.38  56
26.57  51
28.53  56
29.19  100
37.53  17
41.27  71
45.64  16
47.81  15
54.71  17

Crystal structure
```
Na2CaSiTe4
1.0
-3.9753 4.7926 6.2570
3.9753 -4.7926 6.2570
3.9753 4.7926 -6.2570
Na Ca Si Te
4 2 2 8
direct
0.0000 0.0000 0.0000
0.5000 0.0000 0.0000
0.5000 0.0000 0.5000
0.5000 0.5000 0.5000
0.0000 0.5000 0.5000
0.5000 0.5000 0.0000
0.0000 0.0000 0.5000
0.0000 0.5000 0.0000
0.2052 0.2498 0.9554
0.2056 0.7502 0.4554
0.2324 0.2311 0.4987
0.2324 0.7337 0.0013
0.7676 0.2663 0.9987
0.7676 0.7689 0.5013
0.7944 0.2498 0.5446
0.7948 0.7502 0.0446
```

(9)
NaCaSm2: calculated XRD peak list (copper Kα), based on a crystal structure in Alexandria, relaxed with PBE.
Intensities are scaled so that the largest is 100.

Peak list (10 most intense, 10° ≤ 2θ ≤ 80°, sorted by position)
two_theta  I (rel.)
13.35  100
26.89  47
28.94  55
29.21  38
31.01  73
32.96  39
36.79  44
38.28  36
51.13  27
58.70  31

Crystal structure
```
NaCaSm2
1.0
1.7866 1.0315 13.2638
-1.7866 1.0315 13.2638
0.0000 -2.0629 13.2638
Na Ca Sm
1 1 2
direct
0.0000 0.0000 0.0000
0.5000 0.5000 0.5000
0.0886 0.0886 0.0886
0.9114 0.9114 0.9114
```

(10)
NaCa2Sm: calculated XRD peak list (copper Kα), based on a crystal structure in Alexandria, relaxed with PBE.
Intensities are scaled so that the largest is 100.

Peak list (10 most intense, 10° ≤ 2θ ≤ 80°, sorted by position)
two_theta  I (rel.)
14.36  27
27.29  43
27.61  40
28.91  100
29.79  90
32.11  78
33.49  39
48.03  34
50.34  27
57.06  47

Crystal structure
```
NaCa2Sm
1.0
1.8943 1.0936 12.3327
-1.8943 1.0936 12.3327
0.0000 -2.1873 12.3327
Na Ca Sm
1 2 1
direct
0.0000 0.0000 0.0000
0.4190 0.4190 0.4190
0.5811 0.5811 0.5811
0.8335 0.8335 0.8335
```

(11)
NaCa3Sn12: calculated XRD peak list (copper Kα), based on a crystal structure in Alexandria, relaxed with PBE.
Intensities are scaled so that the largest is 100.

Peak list (10 most intense, 10° ≤ 2θ ≤ 80°, sorted by position)
two_theta  I (rel.)
18.74  8
26.43  7
32.60  100
37.43  17
38.01  33
54.41  24
54.84  12
64.49  14
65.27  28
68.29  12

Crystal structure
```
NaCa3Sn12
1.0
4.7352 0.0000 0.0000
0.0000 4.7352 0.0000
0.0000 0.0000 19.2203
Na Ca Sn
1 3 12
direct
0.0000 0.0000 0.0000
0.0000 0.0000 0.2517
0.0000 0.0000 0.5000
0.0000 0.0000 0.7483
0.0000 0.5000 0.1232
0.0000 0.5000 0.3749
0.0000 0.5000 0.6251
0.0000 0.5000 0.8768
0.5000 0.0000 0.1232
0.5000 0.0000 0.3749
0.5000 0.0000 0.6251
0.5000 0.0000 0.8768
0.5000 0.5000 0.0000
0.5000 0.5000 0.2484
0.5000 0.5000 0.5000
0.5000 0.5000 0.7516
```

(12)
Na2Sr3Ca6: calculated XRD peak list (copper Kα), based on a crystal structure in Alexandria, relaxed with PBE.
Intensities are scaled so that the largest is 100.

Peak list (10 most intense, 10° ≤ 2θ ≤ 80°, sorted by position)
two_theta  I (rel.)
17.82  33
20.74  30
23.32  31
25.49  31
25.98  33
28.33  100
29.80  62
35.81  53
44.78  28
47.28  58

Crystal structure
```
Na2Sr3Ca6
1.0
-2.5074 2.5074 20.5748
2.5074 -2.5074 20.5748
2.5074 2.5074 -20.5748
Na Sr Ca
2 3 6
direct
0.1420 0.1420 0.0000
0.8580 0.8580 0.0000
0.3302 0.3302 0.0000
0.5000 0.5000 0.0000
0.6698 0.6698 0.0000
0.0792 0.5792 0.5000
0.2293 0.2293 0.0000
0.4208 0.9208 0.5000
0.5792 0.0792 0.5000
0.7707 0.7707 0.0000
0.9208 0.4208 0.5000
```

(13)
Na2SrCa4: calculated XRD peak list (copper Kα), based on a crystal structure in Alexandria, relaxed with PBE.
Intensities are scaled so that the largest is 100.

Peak list (10 most intense, 10° ≤ 2θ ≤ 80°, sorted by position)
two_theta  I (rel.)
14.44  20
27.07  38
28.12  42
28.90  100
29.69  64
39.43  27
44.28  18
50.25  20
53.28  19
55.71  19

Crystal structure
```
Na2SrCa4
1.0
3.1734 -11.9593 0.0000
3.1734 11.9593 0.0000
0.0000 0.0000 3.9467
Na Sr Ca
2 1 4
direct
0.0704 0.9296 0.0000
0.9296 0.0704 0.0000
0.5000 0.5000 0.5000
0.2053 0.7947 0.5000
0.3455 0.6545 0.0000
0.6545 0.3455 0.0000
0.7947 0.2053 0.5000
```

(14)
Na5Sr5Ca: calculated XRD peak list (copper Kα), based on a crystal structure in Alexandria, relaxed with PBE.
Intensities are scaled so that the largest is 100.

Peak list (10 most intense, 10° ≤ 2θ ≤ 80°, sorted by position)
two_theta  I (rel.)
16.63  9
20.72  12
26.19  100
31.18  9
37.38  13
46.20  32
51.44  12
53.88  10
60.87  10
73.64  11

Crystal structure
```
Na5Sr5Ca
1.0
6.8072 0.0000 0.0000
-3.4036 5.8952 0.0000
0.0000 0.0000 12.4956
Na Sr Ca
5 5 1
direct
0.0000 0.0000 0.2215
0.0000 0.0000 0.7785
0.3445 0.1723 0.0000
0.8277 0.1723 0.0000
0.8277 0.6555 0.0000
0.0000 0.0000 0.5000
0.3333 0.6667 0.1792
0.3333 0.6667 0.8208
0.6667 0.3333 0.3296
0.6667 0.3333 0.6704
0.3333 0.6667 0.5000
```